Structure and calculated powder XRD pattern of La2NdIn3 (DFT lattice parameters and positions (GGA-PBE); a wavelength of 1.5418 Å).
Neutral-atom scattering factors, no anomalous dispersion.

Cell and atoms:
```
La2NdIn3
1.0
1.9124 -15.0996 0.0000
1.9124 15.0996 0.0000
0.0000 0.0000 6.6944
La Nd In
4 2 6
direct
0.0065 0.9935 0.7500
0.1532 0.8468 0.2500
0.8468 0.1532 0.7500
0.9935 0.0065 0.2500
0.3309 0.6691 0.2500
0.6691 0.3309 0.7500
0.2557 0.7443 0.7500
0.4229 0.5771 0.5138
0.4229 0.5771 0.9862
0.5771 0.4229 0.0138
0.5771 0.4229 0.4862
0.7443 0.2557 0.2500
```

Largest 10 diffraction maxima, by angle, 2θ = 10–90°:
d 3.268, I 22
d 2.910, I 100
d 2.862, I 58
d 2.787, I 67
d 2.632, I 33
d 2.518, I 51
d 2.508, I 70
d 1.912, I 26
d 1.836, I 20
d 1.577, I 29